Theoretical PXRD pattern
Compound: La4B6O15
Radiation: Cu Kα
Structure: a DFT-relaxed cell (PBE, the Materials Project)
Kinematic intensities with the Lorentz-polarization factor, no thermal factor.

a b c (Å): 6.527 6.527 19.838
angles (deg): 97.06 97.06 40.63
Atoms (fractional coordinates):
La 0.075 0.644 0.696
La 0.087 0.661 0.905
La 0.339 0.913 0.595
La 0.356 0.925 0.804
La 0.644 0.075 0.196
La 0.661 0.087 0.405
La 0.913 0.339 0.095
La 0.925 0.356 0.304
B 0.027 0.629 0.527
B 0.189 0.608 0.088
B 0.213 0.662 0.305
B 0.338 0.787 0.195
B 0.371 0.973 0.973
B 0.392 0.811 0.412
B 0.608 0.189 0.588
B 0.629 0.027 0.027
B 0.662 0.213 0.805
B 0.787 0.338 0.695
B 0.811 0.392 0.912
B 0.973 0.371 0.473
O 0.025 0.232 0.973
O 0.032 0.312 0.702
O 0.075 0.503 0.453
O 0.087 0.548 0.136
O 0.147 0.853 0.250
O 0.177 0.809 0.376
O 0.191 0.823 0.124
O 0.232 0.025 0.473
O 0.300 0.520 0.566
O 0.312 0.032 0.202
O 0.344 0.532 0.803
O 0.452 0.913 0.364
O 0.468 0.656 0.697
O 0.480 0.700 0.934
O 0.497 0.925 0.047
O 0.503 0.075 0.953
O 0.520 0.300 0.066
O 0.532 0.344 0.303
O 0.548 0.087 0.636
O 0.656 0.468 0.197
O 0.688 0.968 0.798
O 0.700 0.480 0.434
O 0.768 0.975 0.527
O 0.809 0.177 0.876
O 0.823 0.191 0.624
O 0.853 0.147 0.750
O 0.913 0.452 0.864
O 0.925 0.497 0.547
O 0.968 0.688 0.298
O 0.975 0.768 0.027

Peak list (8 most intense, 2θ from 10° to 80°, low angle first)
2θ/deg  d [Å]  Rel. int.
21.6  4.111  44.1
21.7  4.091  27.2
24.8  3.596  29.1
29.5  3.030  100.0
30.3  2.954  57.2
31.7  2.822  39.0
39.8  2.266  22.9
45.8  1.981  33.9